Simulated powder XRD pattern of MnV2CrO8 for λ = 1.5418 Å (Cu Kα), from a crystal structure in Alexandria, relaxed with PBE+U.
Lines closer than 0.1° are merged.

The 10 most intense peaks (15° ≤ 2θ ≤ 90°), sorted by position:
two_theta	d [Å]	intensity
27.13	3.287	100
33.90	2.645	79
39.19	2.299	14
52.41	1.746	59
55.95	1.643	20
63.27	1.470	11
64.52	1.444	12
67.05	1.396	17
71.32	1.322	12
80.22	1.197	9

Unit cell a=5.652 b=5.652 c=5.652 alpha=108.89 beta=108.89 gamma=110.64
Fractional coordinates of all 12 atoms:
1 Mn 0.000 0.000 0.000
2 V 0.250 0.750 0.500
3 V 0.500 0.500 0.000
4 Cr 0.750 0.250 0.500
5 O 0.074 0.372 0.298
6 O 0.074 0.776 0.702
7 O 0.123 0.331 0.792
8 O 0.224 0.926 0.298
9 O 0.539 0.331 0.208
10 O 0.628 0.926 0.702
11 O 0.669 0.461 0.792
12 O 0.669 0.877 0.208